For Cs3LaCl6, a cell relaxed with PBE gives the computed powder XRD pattern in this record (Cu Kα X-rays).
Neutral-atom scattering factors, no anomalous dispersion.

Structural model:
abc: 8.287 8.287 8.511
angles: 118.16 118.16 60.93
Fractional positions:
Cs  0.000  0.000  0.000
Cs  0.245  0.245  0.719
Cs  0.755  0.755  0.281
La  0.500  0.500  0.500
Cl  0.196  0.662  0.648
Cl  0.286  0.286  0.167
Cl  0.338  0.804  0.352
Cl  0.662  0.196  0.648
Cl  0.714  0.714  0.833
Cl  0.804  0.338  0.352

Largest 10 diffraction maxima, most intense first, 2θ from 10° to 90°:
two_theta, Rel. int.
29.91, 100
21.45, 96
20.59, 95
21.15, 43
36.91, 35
37.47, 31
20.91, 31
48.77, 27
37.25, 27
35.92, 26

---

For Cs3LaCl6, a cell relaxed with PBE gives the computed powder XRD pattern in this record (Cu Kα X-rays).
Neutral-atom scattering factors, no anomalous dispersion.

Structural model:
abc: 14.359 14.359 13.826
angles: 99.53 99.53 34.47
Fractional positions:
Cs  0.025  0.645  0.194
Cs  0.163  0.532  0.854
Cs  0.182  0.710  0.560
Cs  0.290  0.818  0.940
Cs  0.355  0.975  0.306
Cs  0.468  0.837  0.646
Cs  0.532  0.163  0.354
Cs  0.645  0.025  0.694
Cs  0.710  0.182  0.060
Cs  0.818  0.290  0.440
Cs  0.837  0.468  0.146
Cs  0.975  0.355  0.806
La  0.000  0.500  0.500
La  0.202  0.798  0.250
La  0.500  0.000  0.000
La  0.798  0.202  0.750
Cl  0.018  0.105  0.209
Cl  0.105  0.018  0.709
Cl  0.134  0.366  0.314
Cl  0.147  0.742  0.062
Cl  0.148  0.209  0.532
Cl  0.209  0.148  0.032
Cl  0.258  0.853  0.438
Cl  0.275  0.385  0.575
Cl  0.358  0.520  0.322
Cl  0.366  0.134  0.814
Cl  0.385  0.275  0.075
Cl  0.480  0.642  0.178
Cl  0.520  0.358  0.822
Cl  0.615  0.725  0.925
Cl  0.634  0.866  0.186
Cl  0.642  0.480  0.678
Cl  0.725  0.615  0.425
Cl  0.742  0.147  0.562
Cl  0.791  0.852  0.968
Cl  0.852  0.791  0.468
Cl  0.853  0.258  0.938
Cl  0.866  0.634  0.686
Cl  0.895  0.982  0.291
Cl  0.982  0.895  0.791

Largest 10 diffraction maxima, most intense first, 2θ from 10° to 90°:
two_theta, Rel. int.
21.93, 100
21.43, 75
30.29, 59
20.88, 34
21.70, 27
31.41, 26
28.83, 25
33.17, 24
38.49, 22
44.72, 20

---

For CsLaCl4O3, a cell relaxed with PBE gives the computed powder XRD pattern in this record (Cu Kα X-rays).
Neutral-atom scattering factors, no anomalous dispersion.

Structural model:
abc: 6.919 7.626 10.251
angles: 90.00 100.59 90.00
Fractional positions:
Cs  0.227  0.250  0.357
Cs  0.773  0.750  0.643
La  0.409  0.250  0.881
La  0.591  0.750  0.119
Cl  0.244  0.012  0.662
Cl  0.244  0.488  0.662
Cl  0.260  0.000  0.059
Cl  0.260  0.500  0.059
Cl  0.740  0.000  0.941
Cl  0.740  0.500  0.941
Cl  0.756  0.512  0.338
Cl  0.756  0.988  0.338
O  0.070  0.250  0.762
O  0.478  0.250  0.128
O  0.488  0.250  0.654
O  0.512  0.750  0.346
O  0.522  0.750  0.872
O  0.930  0.750  0.238

Largest 10 diffraction maxima, most intense first, 2θ from 10° to 90°:
two_theta, Rel. int.
17.47, 100
21.14, 67
30.86, 54
33.59, 35
31.53, 32
13.02, 28
35.64, 24
35.26, 23
18.46, 20
47.73, 19

---

For Cs2LaCl2O2, a cell relaxed with PBE gives the computed powder XRD pattern in this record (Cu Kα X-rays).
Neutral-atom scattering factors, no anomalous dispersion.

Structural model:
abc: 4.735 4.735 18.308
angles: 90.00 90.00 90.00
Fractional positions:
Cs  0.000  0.000  0.138
Cs  0.000  0.000  0.862
Cs  0.500  0.500  0.362
Cs  0.500  0.500  0.638
La  0.000  0.000  0.500
La  0.500  0.500  0.000
Cl  0.000  0.000  0.338
Cl  0.000  0.000  0.662
Cl  0.500  0.500  0.162
Cl  0.500  0.500  0.838
O  0.000  0.500  0.000
O  0.000  0.500  0.500
O  0.500  0.000  0.000
O  0.500  0.000  0.500

Largest 10 diffraction maxima, most intense first, 2θ from 10° to 90°:
two_theta, Rel. int.
23.78, 100
26.62, 88
38.01, 45
30.87, 42
45.33, 37
39.98, 28
29.27, 25
48.68, 23
49.74, 22
72.20, 20

---

For CsLaPbCl6, a cell relaxed with PBE gives the computed powder XRD pattern in this record (Cu Kα X-rays).
Neutral-atom scattering factors, no anomalous dispersion.

Structural model:
abc: 10.428 10.428 10.428
angles: 121.82 119.19 89.14
Fractional positions:
Cs  0.319  0.069  0.250
Cs  0.681  0.931  0.750
La  0.000  0.500  0.500
La  0.500  0.500  0.000
Pb  0.000  0.000  0.500
Pb  0.000  0.500  0.000
Cl  0.077  0.418  0.252
Cl  0.077  0.825  0.659
Cl  0.089  0.839  0.250
Cl  0.316  0.566  0.750
Cl  0.334  0.175  0.752
Cl  0.334  0.582  0.159
Cl  0.666  0.418  0.841
Cl  0.666  0.825  0.248
Cl  0.684  0.434  0.250
Cl  0.911  0.161  0.750
Cl  0.923  0.175  0.341
Cl  0.923  0.582  0.748

Largest 10 diffraction maxima, most intense first, 2θ from 10° to 90°:
two_theta, Rel. int.
19.85, 100
10.28, 63
21.22, 62
20.33, 52
34.42, 48
40.41, 29
31.18, 25
36.05, 25
20.65, 23
33.97, 19

---

For Cs3Li2Cl5, a cell relaxed with PBE gives the computed powder XRD pattern in this record (Cu Kα X-rays).
Neutral-atom scattering factors, no anomalous dispersion.

Structural model:
abc: 12.753 12.753 4.226
angles: 99.53 99.53 146.68
Fractional positions:
Cs  0.000  0.000  0.000
Cs  0.370  0.622  0.494
Cs  0.622  0.370  0.494
Li  0.196  0.766  0.479
Li  0.766  0.196  0.479
Cl  0.126  0.887  0.505
Cl  0.353  0.840  0.095
Cl  0.502  0.502  0.001
Cl  0.840  0.353  0.095
Cl  0.887  0.126  0.505

Largest 10 diffraction maxima, most intense first, 2θ from 10° to 90°:
two_theta, Rel. int.
29.74, 100
29.75, 99
18.43, 56
29.24, 54
29.94, 46
53.07, 44
52.16, 38
21.34, 34
42.34, 32
23.53, 25

---

For Cs2LiCl7, a cell relaxed with PBE gives the computed powder XRD pattern in this record (Cu Kα X-rays).
Neutral-atom scattering factors, no anomalous dispersion.

Structural model:
abc: 7.608 7.608 7.608
angles: 118.57 118.57 92.49
Fractional positions:
Cs  0.250  0.750  0.500
Cs  0.750  0.250  0.500
Li  0.000  0.000  0.000
Cl  0.216  0.216  0.432
Cl  0.216  0.784  0.000
Cl  0.285  0.285  0.000
Cl  0.500  0.500  0.000
Cl  0.715  0.715  0.000
Cl  0.784  0.216  0.000
Cl  0.784  0.784  0.568

Largest 10 diffraction maxima, most intense first, 2θ from 10° to 90°:
two_theta, Rel. int.
28.56, 100
23.41, 55
32.59, 49
22.89, 29
47.87, 27
55.71, 22
34.08, 21
40.51, 21
16.13, 19
46.76, 15

---

For Cs2NaLiCl4, a cell relaxed with PBE gives the computed powder XRD pattern in this record (Cu Kα X-rays).
Neutral-atom scattering factors, no anomalous dispersion.

Structural model:
abc: 8.764 8.764 8.975
angles: 117.97 117.97 92.08
Fractional positions:
Cs  0.000  0.000  0.000
Cs  0.000  0.000  0.500
Cs  0.000  0.500  0.000
Cs  0.500  0.000  0.500
Na  0.500  0.500  0.000
Na  0.500  0.500  0.500
Li  0.000  0.500  0.500
Li  0.500  0.000  0.000
Cl  0.228  0.699  0.506
Cl  0.263  0.305  0.528
Cl  0.301  0.772  0.994
Cl  0.305  0.263  0.028
Cl  0.695  0.737  0.972
Cl  0.699  0.228  0.006
Cl  0.737  0.695  0.472
Cl  0.772  0.301  0.494

Largest 10 diffraction maxima, most intense first, 2θ from 10° to 90°:
two_theta, Rel. int.
12.12, 100
26.95, 98
28.29, 82
29.36, 65
24.37, 64
39.47, 62
24.00, 59
41.24, 55
23.37, 45
31.37, 40

---

For Cs2Li2NdCl6, a cell relaxed with PBE gives the computed powder XRD pattern in this record (Cu Kα X-rays).
Neutral-atom scattering factors, no anomalous dispersion.

Structural model:
abc: 7.323 7.323 8.017
angles: 90.00 90.00 120.00
Fractional positions:
Cs  0.333  0.667  0.372
Cs  0.667  0.333  0.628
Li  0.333  0.667  0.860
Li  0.667  0.333  0.140
Nd  0.000  0.000  0.000
Cl  0.163  0.328  0.761
Cl  0.165  0.837  0.761
Cl  0.328  0.165  0.239
Cl  0.672  0.835  0.761
Cl  0.835  0.163  0.239
Cl  0.837  0.672  0.239

Largest 10 diffraction maxima, most intense first, 2θ from 10° to 90°:
two_theta, Rel. int.
17.83, 100
30.31, 73
26.30, 44
24.31, 44
36.12, 30
39.23, 27
44.02, 23
41.85, 21
49.81, 20
33.14, 14

---

For CsLi4Nd3Cl12, a cell relaxed with PBE gives the computed powder XRD pattern in this record (Cu Kα X-rays).
Neutral-atom scattering factors, no anomalous dispersion.

Structural model:
abc: 9.222 9.222 9.222
angles: 108.84 108.84 108.84
Fractional positions:
Cs  0.000  0.000  0.000
Li  0.083  0.500  0.917
Li  0.500  0.500  0.500
Li  0.500  0.917  0.083
Li  0.917  0.083  0.500
Nd  0.000  0.577  0.423
Nd  0.423  0.000  0.577
Nd  0.577  0.423  0.000
Cl  0.072  0.658  0.764
Cl  0.075  0.925  0.500
Cl  0.236  0.342  0.928
Cl  0.342  0.928  0.236
Cl  0.348  0.652  0.500
Cl  0.500  0.075  0.925
Cl  0.500  0.348  0.652
Cl  0.652  0.500  0.348
Cl  0.658  0.764  0.072
Cl  0.764  0.072  0.658
Cl  0.925  0.500  0.075
Cl  0.928  0.236  0.342

Largest 10 diffraction maxima, most intense first, 2θ from 10° to 90°:
two_theta, Rel. int.
31.15, 100
11.80, 94
16.53, 93
23.19, 68
20.36, 45
43.49, 38
45.73, 32
31.46, 32
39.53, 30
35.89, 29

---

For CsLi2OsCl8, a cell relaxed with PBE gives the computed powder XRD pattern in this record (Cu Kα X-rays).
Neutral-atom scattering factors, no anomalous dispersion.

Structural model:
abc: 6.234 7.015 8.444
angles: 75.58 84.99 85.49
Fractional positions:
Cs  0.000  0.000  0.000
Li  0.486  0.490  0.831
Li  0.514  0.510  0.169
Os  0.000  0.500  0.500
Cl  0.097  0.533  0.753
Cl  0.199  0.205  0.532
Cl  0.298  0.670  0.368
Cl  0.477  0.239  0.069
Cl  0.523  0.761  0.931
Cl  0.702  0.330  0.632
Cl  0.801  0.795  0.468
Cl  0.903  0.467  0.247

Largest 10 diffraction maxima, most intense first, 2θ from 10° to 90°:
two_theta, Rel. int.
14.81, 100
14.29, 82
23.81, 51
19.53, 46
18.95, 46
30.79, 46
21.79, 44
34.70, 40
34.19, 37
21.69, 35

---

For Cs2LiPdCl6, a cell relaxed with PBE gives the computed powder XRD pattern in this record (Cu Kα X-rays).
Neutral-atom scattering factors, no anomalous dispersion.

Structural model:
abc: 12.843 12.843 12.843
angles: 33.19 33.19 33.19
Fractional positions:
Cs  0.124  0.124  0.124
Cs  0.293  0.293  0.293
Cs  0.707  0.707  0.707
Cs  0.876  0.876  0.876
Li  0.416  0.416  0.416
Li  0.584  0.584  0.584
Pd  0.000  0.000  0.000
Pd  0.500  0.500  0.500
Cl  0.153  0.613  0.613
Cl  0.197  0.197  0.722
Cl  0.197  0.722  0.197
Cl  0.278  0.803  0.803
Cl  0.387  0.387  0.847
Cl  0.387  0.847  0.387
Cl  0.613  0.153  0.613
Cl  0.613  0.613  0.153
Cl  0.722  0.197  0.197
Cl  0.803  0.278  0.803
Cl  0.803  0.803  0.278
Cl  0.847  0.387  0.387

Largest 10 diffraction maxima, most intense first, 2θ from 10° to 90°:
two_theta, Rel. int.
24.26, 100
30.71, 94
33.05, 77
18.54, 55
49.71, 52
37.59, 37
22.10, 37
28.26, 34
29.47, 29
24.07, 23

---

Repeat the sixth record exactly.
For Cs3Li2Cl5, a cell relaxed with PBE gives the computed powder XRD pattern in this record (Cu Kα X-rays).
Neutral-atom scattering factors, no anomalous dispersion.

Structural model:
abc: 12.753 12.753 4.226
angles: 99.53 99.53 146.68
Fractional positions:
Cs  0.000  0.000  0.000
Cs  0.370  0.622  0.494
Cs  0.622  0.370  0.494
Li  0.196  0.766  0.479
Li  0.766  0.196  0.479
Cl  0.126  0.887  0.505
Cl  0.353  0.840  0.095
Cl  0.502  0.502  0.001
Cl  0.840  0.353  0.095
Cl  0.887  0.126  0.505

Largest 10 diffraction maxima, most intense first, 2θ from 10° to 90°:
two_theta, Rel. int.
29.74, 100
29.75, 99
18.43, 56
29.24, 54
29.94, 46
53.07, 44
52.16, 38
21.34, 34
42.34, 32
23.53, 25

---

Which formula does entry 9 have? Cs2Li2NdCl6